1.
Structure and theoretical powder XRD pattern of Er2Fe3Cu (a structure optimized by DFT (GGA-PBE); Cu Kα).
Intensities are scaled so that the largest is 100.

Crystal structure
a b c (Å): 5.1674 5.1674 5.1674
angles (deg): 58.52 58.52 58.52
Fractional coordinates of all 6 atoms:
Er: 0.1227 0.1227 0.1227
Er: 0.8773 0.8773 0.8773
Fe: 0.0000 0.5000 0.5000
Fe: 0.5000 0.0000 0.5000
Fe: 0.5000 0.5000 0.0000
Cu: 0.5000 0.5000 0.5000

Largest 12 diffraction maxima, low angle first, 5 to 70 degrees two-theta:
- 21.47 deg, d = 4.139 Å, intensity 25
- 34.74 deg, d = 2.582 Å, intensity 68
- 35.55 deg, d = 2.526 Å, intensity 73
- 40.85 deg, d = 2.209 Å, intensity 61
- 41.55 deg, d = 2.173 Å, intensity 100
- 41.90 deg, d = 2.156 Å, intensity 47
- 43.74 deg, d = 2.070 Å, intensity 22
- 61.75 deg, d = 1.502 Å, intensity 15
- 63.32 deg, d = 1.469 Å, intensity 24
- 63.84 deg, d = 1.458 Å, intensity 13
- 67.44 deg, d = 1.389 Å, intensity 27
- 67.94 deg, d = 1.380 Å, intensity 22


2.
Structure and theoretical powder XRD pattern of Eu3Ga5 (a structure optimized by DFT (GGA-PBE); Cu Kα).
Intensities are scaled so that the largest is 100.

Crystal structure
a b c (Å): 5.9598 5.9598 15.0993
angles (deg): 90.00 90.00 134.32
Fractional coordinates of all 16 atoms:
Eu: 0.0923 0.9077 0.6072
Eu: 0.0923 0.9077 0.8928
Eu: 0.3743 0.6257 0.7500
Eu: 0.6257 0.3743 0.2500
Eu: 0.9077 0.0923 0.1072
Eu: 0.9077 0.0923 0.3928
Ga: 0.2069 0.7931 0.0981
Ga: 0.2069 0.7931 0.4019
Ga: 0.3319 0.6681 0.2500
Ga: 0.3848 0.6152 0.5338
Ga: 0.3848 0.6152 0.9662
Ga: 0.6152 0.3848 0.0338
Ga: 0.6152 0.3848 0.4662
Ga: 0.6681 0.3319 0.7500
Ga: 0.7931 0.2069 0.5981
Ga: 0.7931 0.2069 0.9019

Largest 12 diffraction maxima, low angle first, 5 to 70 degrees two-theta:
- 23.98 deg, d = 3.712 Å, intensity 16
- 31.68 deg, d = 2.824 Å, intensity 100
- 32.61 deg, d = 2.746 Å, intensity 14
- 33.87 deg, d = 2.646 Å, intensity 9
- 35.68 deg, d = 2.517 Å, intensity 12
- 36.01 deg, d = 2.494 Å, intensity 21
- 37.30 deg, d = 2.411 Å, intensity 12
- 38.93 deg, d = 2.314 Å, intensity 26
- 39.43 deg, d = 2.285 Å, intensity 20
- 52.06 deg, d = 1.757 Å, intensity 8
- 53.10 deg, d = 1.725 Å, intensity 9
- 65.99 deg, d = 1.416 Å, intensity 12


3.
Structure and theoretical powder XRD pattern of Mg2Cd (a structure optimized by DFT (GGA-PBE); Cu Kα).
Intensities are scaled so that the largest is 100.

Crystal structure
a b c (Å): 3.1700 3.1700 15.5158
angles (deg): 90.00 90.00 120.00
Fractional coordinates of all 6 atoms:
Mg: 0.3333 0.6667 0.0846
Mg: 0.3333 0.6667 0.4154
Mg: 0.6667 0.3333 0.5846
Mg: 0.6667 0.3333 0.9154
Cd: 0.3333 0.6667 0.7500
Cd: 0.6667 0.3333 0.2500

Largest 12 diffraction maxima, low angle first, 5 to 70 degrees two-theta:
- 11.41 deg, d = 7.758 Å, intensity 100
- 22.93 deg, d = 3.879 Å, intensity 20
- 32.62 deg, d = 2.745 Å, intensity 23
- 33.14 deg, d = 2.703 Å, intensity 37
- 34.68 deg, d = 2.587 Å, intensity 36
- 37.07 deg, d = 2.425 Å, intensity 95
- 44.04 deg, d = 2.056 Å, intensity 17
- 48.35 deg, d = 1.882 Å, intensity 14
- 58.21 deg, d = 1.585 Å, intensity 19
- 59.54 deg, d = 1.553 Å, intensity 10
- 63.75 deg, d = 1.460 Å, intensity 18
- 69.57 deg, d = 1.351 Å, intensity 21